# LiMnPO4
Calculated X-ray diffraction stick pattern, λ = 1.5418 Å (Cu Kα). Input: a PBE+U-relaxed structure.

Largest 10 diffraction maxima, sorted by position, 2θ = 10–80°:
2θ = 20.73°, 4.285 Å, intensity 45, (0 1 1); 2θ = 22.63°, 3.929 Å, intensity 39, (1 1 -1); 2θ = 24.72°, 3.601 Å, intensity 36, (1 1 1); 2θ = 26.19°, 3.402 Å, intensity 26, (1 0 2); 2θ = 28.06°, 3.180 Å, intensity 22, (2 0 -2); 2θ = 29.36°, 3.042 Å, intensity 100, (2 1 -1); 2θ = 32.62°, 2.745 Å, intensity 64, (2 1 1); 2θ = 36.80°, 2.442 Å, intensity 21, (1 1 -3); 2θ = 37.00°, 2.429 Å, intensity 30, (3 0 -2); 2θ = 50.70°, 1.801 Å, intensity 23, (2 2 2)

Atomic structure:
```
28
Lattice="7.9500 0.0000 0.0000 0.0000 4.9958 0.0000 -1.6986 0.0000 8.3333" Properties=species:S:1:pos:R:3 pbc="T T T"
Li 1.0160 0.0000 0.3618
Li 1.8033 2.1594 4.5228
Li 4.4481 4.6573 3.8105
Li 5.2355 2.4979 7.9715
Mn -0.9073 4.7482 5.6477
Mn 3.4962 1.8363 1.8719
Mn 2.7553 4.3342 6.4614
Mn 7.1588 2.2502 2.6856
P 0.3305 2.5542 7.3295
P 1.3835 4.8059 3.3520
P 4.8679 2.3080 4.9813
P 5.9209 0.0563 1.0038
O -0.9834 3.3909 7.4672
O 0.1229 0.5971 3.8674
O 0.0190 1.0495 7.1280
O 1.0359 3.3210 3.1066
O 1.0658 3.1206 6.0596
O 1.9261 0.4442 2.0495
O 2.9316 2.8211 0.2122
O 2.4762 0.0212 4.4523
O 3.7753 2.5192 3.8810
O 3.3198 0.3232 8.1211
O 4.3253 2.9421 6.2838
O 5.1856 0.6227 2.2737
O 5.2155 0.8231 5.2267
O 6.2325 3.5474 1.2053
O 6.1285 3.0950 4.4660
O 7.2348 0.8930 0.8661
```



# LiMn2P2O8
Calculated X-ray diffraction stick pattern, λ = 1.5418 Å (Cu Kα). Input: a PBE+U-relaxed structure.

Largest 10 diffraction maxima, sorted by position, 2θ = 10–80°:
2θ = 21.30°, 4.171 Å, intensity 100, (0 0 2); 2θ = 21.56°, 4.121 Å, intensity 34, (2 0 -2); 2θ = 26.83°, 3.323 Å, intensity 9, (1 1 1); 2θ = 35.07°, 2.559 Å, intensity 29, (0 2 0); 2θ = 35.32°, 2.541 Å, intensity 13, (3 1 -2); 2θ = 35.57°, 2.524 Å, intensity 15, (2 0 -4); 2θ = 41.35°, 2.184 Å, intensity 10, (2 0 2); 2θ = 41.92°, 2.155 Å, intensity 6, (3 1 -4); 2θ = 55.31°, 1.661 Å, intensity 7, (2 2 2); 2θ = 55.97°, 1.643 Å, intensity 7, (2 0 -6)

Atomic structure:
```
26
Lattice="8.7836 0.0000 0.0000 0.0000 5.1171 0.0000 -5.7217 0.0000 8.3182" Properties=species:S:1:pos:R:3 pbc="T T T"
Li 0.0000 0.3123 0.0000
Li -2.8609 4.8048 4.1591
Mn 2.9033 0.2392 2.1066
Mn 0.0424 4.8778 6.2657
Mn 4.5498 2.2617 6.1324
Mn 7.4106 2.8553 1.9733
P -1.3560 2.3327 5.1292
P 1.5048 2.7844 0.9701
P 5.8846 0.2205 1.0360
P 3.0238 4.8965 5.1951
O 0.0561 2.1145 0.8992
O -2.8048 3.0025 5.0583
O -3.5422 2.4369 7.9369
O -0.6813 2.6802 3.7778
O -1.5682 0.8035 5.3128
O 1.2927 4.3136 1.1537
O 2.3150 2.2009 2.1194
O -0.5459 2.9162 6.2785
O 1.5757 0.1800 4.9538
O 4.4365 4.9371 0.7947
O 3.9209 0.0859 3.9676
O 1.0600 5.0312 8.1267
O 5.9461 1.7256 1.4185
O 3.0852 3.3915 5.5776
O 3.6395 0.5675 6.4303
O 6.5003 4.5496 2.2712
```



# LiMnPO4
Calculated X-ray diffraction stick pattern, λ = 1.5418 Å (Cu Kα). Input: a PBE+U-relaxed structure.

Largest 10 diffraction maxima, sorted by position, 2θ = 10–80°:
2θ = 12.94°, 6.839 Å, intensity 100, (0 0 2); 2θ = 23.67°, 3.758 Å, intensity 34, (0 2 1); 2θ = 27.12°, 3.288 Å, intensity 96, (1 1 3); 2θ = 30.11°, 2.967 Å, intensity 29, (0 2 3); 2θ = 30.29°, 2.950 Å, intensity 51, (1 2 2); 2θ = 32.09°, 2.790 Å, intensity 39, (2 1 0); 2θ = 32.76°, 2.734 Å, intensity 26, (2 1 1); 2θ = 33.73°, 2.658 Å, intensity 25, (1 2 3); 2θ = 40.24°, 2.241 Å, intensity 34, (0 2 5); 2θ = 57.80°, 1.595 Å, intensity 27, (2 3 5)

Atomic structure:
```
56
Lattice="5.9722 0.0000 0.0000 0.0000 7.8174 0.0000 0.0000 0.0000 13.6782" Properties=species:S:1:pos:R:3 pbc="T T T"
Li 0.9057 1.5215 3.0653
Li 0.9057 2.3872 9.9044
Li 2.0804 5.4302 3.0653
Li 2.0804 6.2958 9.9044
Li 3.8918 1.5215 3.7737
Li 3.8918 2.3872 10.6128
Li 5.0665 5.4302 3.7737
Li 5.0665 6.2958 10.6128
Mn 0.6137 5.3073 7.3935
Mn 0.6137 6.4187 0.5545
Mn 2.3724 1.3987 7.3935
Mn 2.3724 2.5100 0.5545
Mn 3.5998 5.3073 13.1237
Mn 3.5998 6.4187 6.2846
Mn 5.3585 1.3987 13.1237
Mn 5.3585 2.5100 6.2846
P 0.5969 4.3078 11.8609
P 0.5969 7.4182 5.0218
P 2.3892 0.3992 11.8609
P 2.3892 3.5095 5.0218
P 3.5830 4.3078 8.6563
P 3.5830 7.4182 1.8173
P 5.3753 0.3992 8.6563
P 5.3753 3.5095 1.8173
O 0.1567 4.8595 1.9202
O 0.1567 6.8666 8.7592
O 0.3243 1.5097 7.9988
O 0.3243 2.3990 1.1598
O 0.9839 4.7755 10.4626
O 0.9839 6.9505 3.6235
O 1.1428 0.2330 12.8090
O 1.1428 3.6757 5.9699
O 1.8433 4.1417 12.8090
O 1.8433 7.5844 5.9699
O 2.0022 0.8669 10.4626
O 2.0022 3.0418 3.6235
O 2.6618 5.4184 7.9988
O 2.6618 6.3077 1.1598
O 2.8294 0.9508 1.9202
O 2.8294 2.9579 8.7592
O 3.1428 4.8595 4.9189
O 3.1428 6.8666 11.7580
O 3.3104 1.5097 12.5184
O 3.3104 2.3990 5.6793
O 3.9700 4.7755 10.0547
O 3.9700 6.9505 3.2156
O 4.1289 0.2330 7.7083
O 4.1289 3.6757 0.8692
O 4.8294 4.1417 7.7083
O 4.8294 7.5844 0.8692
O 4.9883 0.8669 10.0547
O 4.9883 3.0418 3.2156
O 5.6479 5.4184 12.5184
O 5.6479 6.3077 5.6793
O 5.8155 0.9508 4.9189
O 5.8155 2.9579 11.7580
```



# LiMn2P2O8
Calculated X-ray diffraction stick pattern, λ = 1.5418 Å (Cu Kα). Input: a PBE+U-relaxed structure.

Largest 10 diffraction maxima, sorted by position, 2θ = 10–80°:
2θ = 17.35°, 5.113 Å, intensity 66, (0 0 2); 2θ = 20.03°, 4.433 Å, intensity 60, (1 0 -1); 2θ = 20.43°, 4.348 Å, intensity 59, (1 0 1); 2θ = 24.80°, 3.591 Å, intensity 39, (-1 1 1); 2θ = 25.06°, 3.553 Å, intensity 30, (1 -1 1); 2θ = 25.17°, 3.538 Å, intensity 27, (1 1 1); 2θ = 29.16°, 3.062 Å, intensity 100, (0 2 0); 2θ = 35.06°, 2.560 Å, intensity 34, (-1 1 3); 2θ = 35.62°, 2.521 Å, intensity 56, (1 -1 3); 2θ = 35.79°, 2.509 Å, intensity 34, (1 1 3)

Atomic structure:
```
26
Lattice="4.8620 0.0000 0.0000 -0.0090 6.1247 0.0000 -0.2542 -0.0733 10.2253" Properties=species:S:1:pos:R:3 pbc="T T T"
Li 0.0000 0.0000 0.0000
Li 2.2814 3.0661 5.1295
Mn 0.0404 4.6126 7.2839
Mn 2.1760 4.5700 2.2506
Mn 2.3848 1.5242 7.9942
Mn 4.5146 1.5010 2.9596
P 0.1529 1.5457 6.0469
P 1.8943 1.5052 1.1112
P 2.6599 4.5920 9.1326
P 4.4038 4.5765 4.1965
O 0.7033 1.5218 4.5767
O 0.7629 0.3422 6.8383
O 0.8777 2.7871 6.7174
O 1.0558 4.4907 4.1490
O 1.1605 0.2419 1.6996
O 1.2389 2.6673 1.9128
O 1.1090 4.6658 8.9093
O 1.3407 1.4742 9.8396
O 3.2185 4.6283 0.4032
O 3.4439 1.4481 1.3395
O 3.3056 3.4268 8.3332
O 3.4008 5.8492 8.5357
O 3.5002 1.6290 6.0943
O 3.6763 3.3390 3.5243
O 3.7929 5.7822 3.4086
O 3.8528 4.5991 5.6675
```



# LiMnP2O7
Calculated X-ray diffraction stick pattern, λ = 1.5418 Å (Cu Kα). Input: a PBE+U-relaxed structure.

Largest 10 diffraction maxima, sorted by position, 2θ = 10–80°:
2θ = 17.33°, 5.116 Å, intensity 36, (0 1 2); 2θ = 18.30°, 4.847 Å, intensity 100, (1 0 0); 2θ = 18.74°, 4.735 Å, intensity 71, (1 0 -2); 2θ = 23.12°, 3.847 Å, intensity 38, (0 2 1); 2θ = 25.92°, 3.438 Å, intensity 37, (0 2 2); 2θ = 26.13°, 3.410 Å, intensity 39, (1 0 2); 2θ = 29.29°, 3.049 Å, intensity 23, (1 1 -4); 2θ = 34.13°, 2.627 Å, intensity 35, (0 3 1); 2θ = 34.94°, 2.568 Å, intensity 28, (2 0 -2); 2θ = 40.11°, 2.248 Å, intensity 26, (1 3 1)

Atomic structure:
```
44
Lattice="5.1395 0.0000 0.0000 0.0000 8.0396 0.0000 -4.6795 0.0000 13.2650" Properties=species:S:1:pos:R:3 pbc="T T T"
Li -1.0515 1.7229 3.4912
Li -3.3912 2.2969 10.1237
Li 3.8513 5.7427 3.1413
Li 1.5115 6.3167 9.7737
Mn -1.1525 5.2067 8.2175
Mn 1.1872 6.8528 1.5850
Mn -0.7272 1.1869 11.6800
Mn 1.6126 2.8329 5.0475
P 1.5323 1.6493 0.2576
P -0.8075 2.3705 6.8900
P -1.0001 0.2632 8.9643
P 1.3396 3.7566 2.3318
P -0.8796 4.2830 10.9331
P 1.4601 7.7764 4.3006
P 1.2675 5.6692 6.3749
P -1.0722 6.3903 13.0074
O -3.8688 1.6580 12.1896
O -1.5291 2.3618 5.5572
O -2.3992 0.2902 9.5368
O -0.0595 3.7296 2.9043
O 0.9182 0.7339 1.3366
O -1.4215 3.2859 7.9691
O -0.9631 0.8772 7.4738
O 1.3766 3.1426 0.8413
O -1.8720 5.1002 10.0604
O 0.4678 6.9592 3.4280
O -0.2534 5.3930 6.5164
O -2.5932 6.6665 13.1488
O 0.8373 1.1418 4.4924
O -1.5024 2.8780 11.1249
O 1.9625 5.1617 2.1401
O -0.3773 6.8978 8.7725
O 3.0532 1.3732 0.1161
O 0.7135 2.6467 6.7486
O -0.0077 1.0804 9.8370
O 2.3320 2.9394 3.2045
O -0.9166 4.8970 12.4236
O 1.4231 7.1624 5.7911
O 1.8816 4.7537 5.2958
O -0.4582 7.3057 11.9283
O 0.5195 4.3100 10.3606
O 2.8593 7.7494 3.7281
O 1.9891 5.6779 7.7078
O 4.3289 6.3816 1.0753
```



# LiMnPO5
Calculated X-ray diffraction stick pattern, λ = 1.5418 Å (Cu Kα). Input: a PBE+U-relaxed structure.

Largest 10 diffraction maxima, sorted by position, 2θ = 10–80°:
2θ = 18.20°, 4.874 Å, intensity 25, (0 1 0); 2θ = 18.63°, 4.764 Å, intensity 43, (1 0 0); 2θ = 18.92°, 4.692 Å, intensity 22, (1 0 -1); 2θ = 22.37°, 3.974 Å, intensity 21, (1 -1 0); 2θ = 26.48°, 3.366 Å, intensity 14, (-1 1 1); 2θ = 28.12°, 3.173 Å, intensity 100, (0 1 -2); 2θ = 29.49°, 3.029 Å, intensity 60, (1 1 0); 2θ = 36.70°, 2.449 Å, intensity 27, (1 -2 0); 2θ = 46.68°, 1.946 Å, intensity 14, (2 1 0); 2θ = 56.70°, 1.624 Å, intensity 19, (0 3 0)

Atomic structure:
```
16
Lattice="5.1799 0.0000 0.0000 -0.8225 5.2140 0.0000 -2.0833 -2.3519 6.1858" Properties=species:S:1:pos:R:3 pbc="T T T"
Li 0.3548 1.2376 1.6016
Li 1.9193 1.6245 4.5842
Mn 2.5899 0.0000 0.0000
Mn 1.5483 -1.1760 3.0929
P -0.9202 0.0969 4.5949
P 3.1942 2.7652 1.5909
O -0.8397 3.0046 2.5979
O -1.3268 1.4553 5.2359
O -0.8149 -1.0060 5.6795
O 0.4308 0.2725 3.8240
O 1.5109 -0.2869 1.4760
O 0.7632 3.1490 4.7098
O 1.8433 2.5896 2.3619
O 3.0890 3.8681 0.5064
O 3.6008 1.4068 0.9499
O 3.1137 -0.1425 3.5879
```



# LiMnPO5
Calculated X-ray diffraction stick pattern, λ = 1.5418 Å (Cu Kα). Input: a PBE+U-relaxed structure.

Largest 10 diffraction maxima, sorted by position, 2θ = 10–80°:
2θ = 17.27°, 5.134 Å, intensity 14, (1 0 1); 2θ = 18.49°, 4.799 Å, intensity 38, (0 1 1); 2θ = 23.97°, 3.713 Å, intensity 24, (0 0 2); 2θ = 27.10°, 3.291 Å, intensity 19, (1 0 2); 2θ = 27.84°, 3.205 Å, intensity 100, (2 0 1); 2θ = 28.39°, 3.144 Å, intensity 61, (0 2 0); 2θ = 39.11°, 2.303 Å, intensity 17, (0 1 3); 2θ = 44.93°, 2.017 Å, intensity 16, (0 3 1); 2θ = 57.93°, 1.592 Å, intensity 22, (2 1 4); 2θ = 73.11°, 1.294 Å, intensity 18, (2 3 4)

Atomic structure:
```
32
Lattice="7.1059 0.0000 0.0000 0.0000 6.2884 0.0000 0.0000 0.0000 7.4263" Properties=species:S:1:pos:R:3 pbc="T T T"
Li 0.0000 0.0000 0.0000
Li 0.0000 3.1442 0.0000
Li 3.5529 0.0000 3.7132
Li 3.5529 3.1442 3.7132
Mn 1.0002 1.5721 2.0030
Mn 2.5528 4.7163 5.7162
Mn 4.5531 1.5721 1.7102
Mn 6.1057 4.7163 5.4233
P 0.8796 4.7163 2.8243
P 2.6733 1.5721 6.5374
P 4.4325 4.7163 0.8889
P 6.2263 1.5721 4.6020
O 0.4378 1.5721 3.8030
O 0.7663 4.7163 6.2302
O 0.9237 3.5105 1.8568
O 0.9237 5.9222 1.8568
O 1.4284 1.5721 0.0393
O 2.1245 4.7163 3.7524
O 2.6292 0.3662 5.5700
O 2.6292 2.7780 5.5700
O 2.7866 1.5721 2.5171
O 3.1151 4.7163 0.0898
O 3.9908 1.5721 7.3365
O 4.3192 4.7163 4.9092
O 4.4767 3.5105 1.8564
O 4.4767 5.9222 1.8564
O 4.9813 1.5721 3.6739
O 5.6775 4.7163 7.3871
O 6.1822 0.3662 5.5695
O 6.1822 2.7780 5.5695
O 6.3396 1.5721 1.1961
O 6.6680 4.7163 3.6234
```



# LiMnPO4
Calculated X-ray diffraction stick pattern, λ = 1.5418 Å (Cu Kα). Input: a PBE+U-relaxed structure.

Largest 10 diffraction maxima, sorted by position, 2θ = 10–80°:
2θ = 15.50°, 5.716 Å, intensity 31, (1 0 2); 2θ = 19.47°, 4.558 Å, intensity 60, (0 0 4); 2θ = 22.57°, 3.940 Å, intensity 31, (1 1 1); 2θ = 22.73°, 3.913 Å, intensity 30, (1 0 -4); 2θ = 23.05°, 3.859 Å, intensity 58, (1 0 4); 2θ = 24.01°, 3.706 Å, intensity 42, (1 1 -2); 2θ = 29.41°, 3.037 Å, intensity 60, (1 1 -4); 2θ = 29.67°, 3.011 Å, intensity 55, (1 1 4); 2θ = 31.85°, 2.810 Å, intensity 100, (2 1 -2); 2θ = 32.08°, 2.790 Å, intensity 97, (2 1 2)

Atomic structure:
```
56
Lattice="7.4318 0.0000 0.0000 0.0000 4.8153 0.0000 -0.2861 0.0000 18.2331" Properties=species:S:1:pos:R:3 pbc="T T T"
Li 1.0171 1.1212 4.1831
Li 0.8741 1.2865 13.2997
Li 2.1786 3.4817 17.9000
Li 2.3217 3.7413 8.7834
Li 4.8240 1.0740 9.4497
Li 4.9671 1.3336 0.3332
Li 6.2716 3.5288 4.9335
Li 6.1286 3.6941 14.0500
Mn 0.1029 1.1675 7.3099
Mn -0.0402 1.2401 16.4264
Mn 3.5175 3.2397 3.0551
Mn 3.3745 3.9832 12.1716
Mn 3.7712 0.8321 6.0615
Mn 3.6282 1.5756 15.1781
Mn 7.1859 3.5752 1.8067
Mn 7.0428 3.6478 10.9233
P 1.6977 3.2321 5.8650
P 1.5547 3.9909 14.9816
P 1.7506 1.0368 10.3806
P 1.8937 1.3709 1.2640
P 5.2520 3.4444 16.9692
P 5.3951 3.7785 7.8526
P 5.5910 0.8244 3.2516
P 5.4480 1.5832 12.3682
O 0.4659 2.6483 5.1555
O 0.3229 4.5747 14.2720
O 0.9606 0.3659 11.5531
O 1.1036 2.0417 2.4366
O 1.1691 0.5507 9.0349
O 1.0260 1.8569 18.1515
O 1.6327 2.7050 7.3179
O 1.4897 4.5179 16.4345
O 1.6201 2.4307 14.9103
O 1.7631 4.7922 5.7937
O 1.6984 2.5914 10.5296
O 1.8415 4.6315 1.4130
O 2.9936 2.6584 5.1478
O 2.8506 4.5645 14.2644
O 3.2038 0.4797 10.4956
O 3.3468 1.9279 1.3791
O 3.7989 2.8873 16.8541
O 3.9419 4.3356 7.7375
O 4.2951 0.2508 3.9688
O 4.1521 2.1569 13.0853
O 5.3042 0.1838 16.8202
O 5.4473 2.2238 7.7036
O 5.3826 0.0231 12.4394
O 5.5256 2.3845 3.3228
O 5.6560 0.2974 1.7987
O 5.5130 2.1103 10.9153
O 6.1197 2.9583 0.0816
O 5.9766 4.2646 9.1982
O 6.0421 2.7736 15.7966
O 6.1851 4.4494 6.6800
O 6.8228 0.2406 3.9611
O 6.6797 2.1670 13.0777
```